K5Sn2Se6: theoretical powder diffractogram (CuKα), based on a PBE-relaxed structure.
Intensities are scaled so that the largest is 100.

Principal peaks in the range 2θ from 15° to 90°, most intense first:
2theta, intensity
15.16, 100
29.53, 94
31.90, 63
33.66, 59
16.93, 56
37.07, 53
25.04, 51
30.59, 51
39.68, 50
20.49, 48

Structural model:
```
data_K5Sn2Se6
_chemical_formula_sum 'K20 Sn8 Se24'
_space_group_name_H-M_alt 'C 1 2/c 1'
_space_group_IT_number 15
_cell_length_a 13.6585
_cell_length_b 8.6686
_cell_length_c 17.2532
_cell_angle_alpha 90.00
_cell_angle_beta 101.64
_cell_angle_gamma 90.00
loop_
_space_group_symop_operation_xyz
'x,y,z'
'-x,-y,-z'
'-x,y,-z+1/2'
'x,-y,z+1/2'
'x+1/2,y+1/2,z'
'-x+1/2,-y+1/2,-z'
'-x+1/2,y+1/2,-z+1/2'
'x+1/2,-y+1/2,z+1/2'
loop_
_atom_site_label
_atom_site_type_symbol
_atom_site_fract_x
_atom_site_fract_y
_atom_site_fract_z
_atom_site_occupancy
K1 K 0.0000 0.1904 0.2500 1
K2 K 0.0237 0.2309 0.0024 1
K3 K 0.1605 0.3498 0.7354 1
Sn1 Sn 0.2244 0.3950 0.4282 1
Se1 Se 0.0490 0.4991 0.8735 1
Se2 Se 0.1400 0.0104 0.6453 1
Se3 Se 0.2032 0.0858 0.4122 1
```

TlGa2Ag: theoretical powder diffractogram (CuKα), based on a PBE-relaxed structure.
Intensities are scaled so that the largest is 100.

Principal peaks in the range 2θ from 15° to 90°, most intense first:
2theta, intensity
35.49, 100
40.25, 90
23.54, 67
31.50, 45
25.31, 32
52.46, 29
54.73, 28
70.08, 27
32.21, 19
73.16, 15

Structural model:
```
data_TlGa2Ag
_chemical_formula_sum 'Tl3 Ga6 Ag3'
_space_group_name_H-M_alt 'R 3 m'
_space_group_IT_number 160
_space_group_name_Hall 'R 3 -2"'
_cell_length_a 4.4813
_cell_length_b 4.4813
_cell_length_c 16.6736
_cell_angle_alpha 90.00
_cell_angle_beta 90.00
_cell_angle_gamma 120.00
loop_
_atom_site_label
_atom_site_type_symbol
_atom_site_fract_x
_atom_site_fract_y
_atom_site_fract_z
_atom_site_occupancy
Tl1 Tl 0.0000 0.0000 0.0000 1
Ga1 Ga 0.0000 0.0000 0.5553 1
Ga2 Ga 0.0000 0.0000 0.7955 1
Ag1 Ag 0.0000 0.0000 0.1829 1
```